LiZr2TaN5: simulated X-ray diffraction stick pattern (Cu Kα (λ = 1.5418 Å)), based on a cell relaxed with PBE.
Intensities are scaled so that the largest is 1000.

Largest 10 diffraction maxima, low angle first, 2θ from 15° to 90°:
two_theta  I/Imax
23.4  535
29.1  472
29.3  386
30.9  351
31.7  640
35.4  436
41.4  1000
42.8  310
49.5  561
61.3  317

Crystal structure
```
LiZr2TaN5
1.0
1.566 -6.500 0.000
1.566 6.500 0.000
0.000 0.000 9.400
Li Zr Ta N
2 4 2 10
direct
0.019 0.981 0.500 Li
0.981 0.019 0.000 Li
0.372 0.628 0.328 Zr
0.395 0.605 0.709 Zr
0.605 0.395 0.209 Zr
0.628 0.372 0.828 Zr
0.302 0.698 0.032 Ta
0.698 0.302 0.532 Ta
0.005 0.995 0.793 N
0.139 0.861 0.022 N
0.180 0.820 0.383 N
0.217 0.783 0.686 N
0.445 0.555 0.105 N
0.555 0.445 0.605 N
0.783 0.217 0.186 N
0.820 0.180 0.883 N
0.861 0.139 0.522 N
0.995 0.005 0.293 N
```